Structure and calculated X-ray diffraction stick pattern of CdAg4Ge2S7 (a crystal structure in the Materials Project, relaxed with PBE; Cu Kα, 1.54184 Å).
Peak positions follow from Bragg's law for the DFT cell and can differ from measured ones.

Main lines, by angle (10° ≤ 2θ ≤ 80°):
Position (°2θ)  intensity
25.36  62
25.70  33
26.86  69
28.48  51
29.05  100
44.50  28
45.11  45
48.08  24
48.82  23
49.16  25
52.94  16
53.61  17

Crystal structure
a b c (Å): 9.5558 9.5558 10.6502
angles (deg): 93.00 93.00 42.54
Fractional coordinates of all 28 atoms:
Cd 0.1802 0.8198 0.5000
Cd 0.8198 0.1802 0.0000
Ag 0.0414 0.6799 0.8081
Ag 0.3048 0.5469 0.1556
Ag 0.3248 0.9651 0.2102
Ag 0.5363 0.8900 0.5967
Ag 0.5469 0.3048 0.6556
Ag 0.6799 0.0414 0.3081
Ag 0.8900 0.5363 0.0967
Ag 0.9651 0.3248 0.7102
Ge 0.1147 0.4601 0.4543
Ge 0.4025 0.7520 0.8791
Ge 0.4601 0.1147 0.9543
Ge 0.7520 0.4025 0.3791
S 0.0151 0.3462 0.3064
S 0.0657 0.6961 0.3520
S 0.1823 0.4495 0.9942
S 0.2128 0.8564 0.0495
S 0.2856 0.6837 0.7272
S 0.3462 0.0151 0.8064
S 0.4495 0.1823 0.4942
S 0.4758 0.7449 0.4138
S 0.5916 0.9305 0.1266
S 0.6837 0.2856 0.2272
S 0.6961 0.0657 0.8520
S 0.7449 0.4758 0.9138
S 0.8564 0.2128 0.5495
S 0.9305 0.5916 0.6266